No. 1
Diffraction record for Zn4TeO7. The powder diffractogram is theoretical, not measured: it uses a structure optimized by DFT (GGA-PBE) and Cu Ka.
Intensities are scaled so that the largest is 100.

Crystal structure
```
data_Zn4TeO7
_symmetry_space_group_name_H-M 'F -4 3 m'
_symmetry_Int_Tables_number 216
_symmetry_space_group_name_Hall 'F -4 2 3'
_cell_length_a 8.5822
_cell_length_b 8.5822
_cell_length_c 8.5822
_cell_angle_alpha 90.00
_cell_angle_beta 90.00
_cell_angle_gamma 90.00
loop_
_atom_site_label
_atom_site_fract_x
_atom_site_fract_y
_atom_site_fract_z
_atom_site_occupancy
Zn1 0.1235 0.1235 0.1235 1
Te1 0.0000 0.0000 0.5000 1
O1 0.0000 0.0000 0.2707 1
O2 0.2500 0.2500 0.2500 1
```

Top 10 peaks for 2θ from 15° to 90°, in order of falling intensity:
2.588 Å, I = 100, (3 1 1)
4.955 Å, I = 46, (1 1 1)
2.477 Å, I = 44, (2 2 2)
1.517 Å, I = 41, (4 4 0)
1.652 Å, I = 39, (5 1 1)
4.291 Å, I = 37, (2 0 0)
1.117 Å, I = 20, (5 5 3)
3.034 Å, I = 16, (2 2 0)
1.294 Å, I = 15, (6 2 2)
1.919 Å, I = 13, (4 2 0)


No. 2
Diffraction record for Zr2Te2O5. The powder diffractogram is theoretical, not measured: it uses a structure optimized by DFT (GGA-PBE) and Cu Ka.
Intensities are scaled so that the largest is 100.

Crystal structure
```
data_Zr2Te2O5
_symmetry_space_group_name_H-M 'P 4/m m m'
_symmetry_Int_Tables_number 123
_symmetry_space_group_name_Hall '-P 4 2'
_cell_length_a 3.8795
_cell_length_b 3.8795
_cell_length_c 8.5603
_cell_angle_alpha 90.00
_cell_angle_beta 90.00
_cell_angle_gamma 90.00
loop_
_atom_site_label
_atom_site_fract_x
_atom_site_fract_y
_atom_site_fract_z
_atom_site_occupancy
Zr1 0.0000 0.0000 0.2372 1
Te1 0.5000 0.5000 0.0000 1
Te2 0.5000 0.5000 0.5000 1
O1 0.0000 0.0000 0.5000 1
O2 0.0000 0.5000 0.3196 1
```

Top 10 peaks for 2θ from 15° to 90°, in order of falling intensity:
2.874 Å, I = 100, (1 0 2)
2.743 Å, I = 38, (1 1 0)
1.608 Å, I = 35, (2 1 2)
1.940 Å, I = 24, (2 0 0)
1.687 Å, I = 24, (1 1 4)
1.437 Å, I = 12, (2 0 4)
2.140 Å, I = 11, (0 0 4)
1.102 Å, I = 9, (2 1 6)
1.339 Å, I = 9, (1 0 6)
1.238 Å, I = 7, (3 0 2)


No. 3
Diffraction record for Zr2TeO4. The powder diffractogram is theoretical, not measured: it uses a structure optimized by DFT (GGA-PBE) and Cu Ka.
Intensities are scaled so that the largest is 100.

Crystal structure
abc: 9.5982 9.5982 9.5982
angles: 90.00 90.00 90.00
Space group Fd-3m (No. 227, origin choice 2)
Unique sites:
Zr: 0.0000 0.0000 0.0000 x16
Te: 0.1250 0.1250 0.6250 x8
O: 0.0279 0.0279 0.2221 x32

Top 10 peaks for 2θ from 15° to 90°, in order of falling intensity:
2.894 Å, I = 100, (3 1 1)
1.847 Å, I = 45, (5 1 1)
3.393 Å, I = 44, (2 2 0)
1.697 Å, I = 39, (4 4 0)
1.250 Å, I = 21, (5 5 3)
2.771 Å, I = 17, (2 2 2)
1.959 Å, I = 15, (4 2 2)
1.464 Å, I = 14, (5 3 3)
1.108 Å, I = 12, (5 5 5)
1.447 Å, I = 10, (6 2 2)


No. 4
Diffraction record for Zr2Tl2O5. The powder diffractogram is theoretical, not measured: it uses a structure optimized by DFT (GGA-PBE) and Cu Ka.
Intensities are scaled so that the largest is 100.

Crystal structure
```
data_Zr2Tl2O5
_symmetry_space_group_name_H-M 'P 4/m m m'
_symmetry_Int_Tables_number 123
_symmetry_space_group_name_Hall '-P 4 2'
_cell_length_a 4.0727
_cell_length_b 4.0727
_cell_length_c 8.9649
_cell_angle_alpha 90.00
_cell_angle_beta 90.00
_cell_angle_gamma 90.00
loop_
_atom_site_label
_atom_site_fract_x
_atom_site_fract_y
_atom_site_fract_z
_atom_site_occupancy
Zr1 0.0000 0.0000 0.2266 1
Tl1 0.5000 0.5000 0.0000 1
Tl2 0.5000 0.5000 0.5000 1
O1 0.0000 0.0000 0.0000 1
O2 0.0000 0.5000 0.2744 1
```

Top 10 peaks for 2θ from 15° to 90°, in order of falling intensity:
3.014 Å, I = 100, (1 0 2)
2.880 Å, I = 40, (1 1 0)
1.687 Å, I = 37, (2 1 2)
2.036 Å, I = 23, (2 0 0)
1.769 Å, I = 19, (1 1 4)
2.423 Å, I = 16, (1 1 2)
1.507 Å, I = 15, (2 0 4)
2.241 Å, I = 14, (0 0 4)
4.073 Å, I = 12, (1 0 0)
1.095 Å, I = 10, (3 2 2)


No. 5
Diffraction record for Tm2O3. The powder diffractogram is theoretical, not measured: it uses a structure optimized by DFT (GGA-PBE) and Cu Ka.
Intensities are scaled so that the largest is 100.

Crystal structure
```
data_Tm2O3
_symmetry_space_group_name_H-M 'I 21 3'
_symmetry_Int_Tables_number 199
_symmetry_space_group_name_Hall 'I 2b 2c 3'
_cell_length_a 10.4041
_cell_length_b 10.4041
_cell_length_c 10.4041
_cell_angle_alpha 90.00
_cell_angle_beta 90.00
_cell_angle_gamma 90.00
loop_
_atom_site_label
_atom_site_fract_x
_atom_site_fract_y
_atom_site_fract_z
_atom_site_occupancy
Tm1 0.0000 0.2500 0.4670 1
Tm2 0.0000 0.2500 0.9668 1
Tm3 0.2497 0.2497 0.2497 1
O1 0.1084 0.3479 0.1200 1
O2 0.1086 0.1523 0.6203 1
```

Top 10 peaks for 2θ from 15° to 90°, in order of falling intensity:
3.003 Å, I = 100, (2 2 2)
1.839 Å, I = 37, (4 4 0)
2.601 Å, I = 36, (4 0 0)
1.568 Å, I = 31, (6 2 2)
4.247 Å, I = 10, (2 1 1)
2.040 Å, I = 8, (4 1 3)
1.193 Å, I = 8, (6 6 2)
1.163 Å, I = 7, (8 4 0)
1.502 Å, I = 7, (4 4 4)
1.534 Å, I = 6, (6 1 3)


No. 6
Diffraction record for Y2Zn2O5. The powder diffractogram is theoretical, not measured: it uses a structure optimized by DFT (GGA-PBE) and Cu Ka.
Intensities are scaled so that the largest is 100.

Crystal structure
```
data_Y2Zn2O5
_symmetry_space_group_name_H-M 'P 4/m m m'
_symmetry_Int_Tables_number 123
_symmetry_space_group_name_Hall '-P 4 2'
_cell_length_a 3.9017
_cell_length_b 3.9017
_cell_length_c 7.0567
_cell_angle_alpha 90.00
_cell_angle_beta 90.00
_cell_angle_gamma 90.00
loop_
_atom_site_label
_atom_site_fract_x
_atom_site_fract_y
_atom_site_fract_z
_atom_site_occupancy
Y1 0.0000 0.0000 0.0000 1
Y2 0.0000 0.0000 0.5000 1
Zn1 0.5000 0.5000 0.2261 1
O1 0.0000 0.5000 0.2028 1
O2 0.5000 0.5000 0.5000 1
```

Top 10 peaks for 2θ from 15° to 90°, in order of falling intensity:
2.617 Å, I = 100, (1 0 2)
2.759 Å, I = 48, (1 1 0)
1.564 Å, I = 40, (2 1 2)
1.951 Å, I = 36, (2 0 0)
1.486 Å, I = 16, (1 1 4)
1.308 Å, I = 13, (2 0 4)
1.379 Å, I = 11, (2 2 0)
1.764 Å, I = 9, (0 0 4)
1.220 Å, I = 9, (3 0 2)
2.173 Å, I = 8, (1 1 2)


No. 7
Diffraction record for YZn2O4. The powder diffractogram is theoretical, not measured: it uses a structure optimized by DFT (GGA-PBE) and Cu Ka.
Intensities are scaled so that the largest is 100.

Crystal structure
abc: 8.8672 8.8672 8.8672
angles: 90.00 90.00 90.00
Space group Fd-3m (No. 227, origin choice 2)
Unique sites:
Y: 0.1250 0.1250 0.1250 x8
Zn: 0.0000 0.0000 0.5000 x16
O: 0.0140 0.0140 0.7360 x32

Top 10 peaks for 2θ from 15° to 90°, in order of falling intensity:
2.674 Å, I = 100, (3 1 1)
1.568 Å, I = 42, (4 4 0)
1.706 Å, I = 39, (5 1 1)
3.135 Å, I = 38, (2 2 0)
1.154 Å, I = 19, (5 5 3)
1.810 Å, I = 14, (4 2 2)
1.352 Å, I = 11, (5 3 3)
2.560 Å, I = 11, (2 2 2)
2.217 Å, I = 11, (4 0 0)
1.185 Å, I = 7, (6 4 2)


No. 8
Diffraction record for ZnO. The powder diffractogram is theoretical, not measured: it uses a structure optimized by DFT (GGA-PBE) and Cu Ka.
Intensities are scaled so that the largest is 100.

Crystal structure
```
data_ZnO
_symmetry_space_group_name_H-M 'R 3 m'
_symmetry_Int_Tables_number 160
_symmetry_space_group_name_Hall 'R 3 -2"'
_cell_length_a 3.2498
_cell_length_b 3.2498
_cell_length_c 31.7135
_cell_angle_alpha 90.00
_cell_angle_beta 90.00
_cell_angle_gamma 120.00
loop_
_atom_site_label
_atom_site_fract_x
_atom_site_fract_y
_atom_site_fract_z
_atom_site_occupancy
Zn1 0.0000 0.0000 0.0000 1
Zn2 0.0000 0.0000 0.1665 1
Zn3 0.0000 0.0000 0.4166 1
Zn4 0.0000 0.0000 0.5832 1
O1 0.0000 0.0000 0.1038 1
O2 0.0000 0.0000 0.3539 1
O3 0.0000 0.0000 0.5204 1
O4 0.0000 0.0000 0.9372 1
```

Top 10 peaks for 2θ from 15° to 90°, in order of falling intensity:
2.573 Å, I = 100, (0 1 5)
2.643 Å, I = 63, (0 0 12)
2.391 Å, I = 59, (1 0 7)
1.625 Å, I = 55, (1 1 0)
2.771 Å, I = 53, (0 1 2)
1.384 Å, I = 46, (1 1 12)
1.555 Å, I = 32, (0 1 17)
1.436 Å, I = 20, (1 0 19)
2.803 Å, I = 16, (1 0 1)
1.374 Å, I = 13, (2 0 5)


No. 9
Diffraction record for ZnO. The powder diffractogram is theoretical, not measured: it uses a structure optimized by DFT (GGA-PBE) and Cu Ka.
Intensities are scaled so that the largest is 100.

Crystal structure
```
data_ZnO
_symmetry_space_group_name_H-M 'P 63 m c'
_symmetry_Int_Tables_number 186
_symmetry_space_group_name_Hall 'P 6c -2c'
_cell_length_a 3.2441
_cell_length_b 3.2441
_cell_length_c 21.1445
_cell_angle_alpha 90.00
_cell_angle_beta 90.00
_cell_angle_gamma 120.00
loop_
_atom_site_label
_atom_site_fract_x
_atom_site_fract_y
_atom_site_fract_z
_atom_site_occupancy
Zn1 0.0000 0.0000 0.0000 1
Zn2 0.3333 0.6667 0.1252 1
Zn3 0.3333 0.6667 0.3751 1
Zn4 0.3333 0.6667 0.7502 1
O1 0.0000 0.0000 0.0939 1
O2 0.3333 0.6667 0.2191 1
O3 0.3333 0.6667 0.4689 1
O4 0.3333 0.6667 0.8439 1
```

Top 10 peaks for 2θ from 15° to 90°, in order of falling intensity:
2.610 Å, I = 100, (1 0 3)
2.715 Å, I = 74, (1 0 2)
2.643 Å, I = 70, (0 0 8)
1.622 Å, I = 61, (1 1 0)
1.382 Å, I = 50, (1 1 8)
2.340 Å, I = 46, (1 0 5)
2.481 Å, I = 34, (1 0 4)
1.586 Å, I = 30, (1 0 11)
2.197 Å, I = 21, (1 0 6)
1.689 Å, I = 19, (1 0 10)


No. 10
Diffraction record for ZnO. The powder diffractogram is theoretical, not measured: it uses a structure optimized by DFT (GGA-PBE) and Cu Ka.
Intensities are scaled so that the largest is 100.

Crystal structure
```
data_ZnO
_symmetry_space_group_name_H-M 'F -4 3 m'
_symmetry_Int_Tables_number 216
_symmetry_space_group_name_Hall 'F -4 2 3'
_cell_length_a 4.5887
_cell_length_b 4.5887
_cell_length_c 4.5887
_cell_angle_alpha 90.00
_cell_angle_beta 90.00
_cell_angle_gamma 90.00
loop_
_atom_site_label
_atom_site_fract_x
_atom_site_fract_y
_atom_site_fract_z
_atom_site_occupancy
Zn1 0.0000 0.0000 0.0000 1
O1 0.2500 0.2500 0.2500 1
```

Top 6 peaks for 2θ from 15° to 90°, in order of falling intensity:
2.649 Å, I = 100, (1 1 1)
1.622 Å, I = 43, (2 2 0)
1.384 Å, I = 35, (3 1 1)
2.294 Å, I = 28, (2 0 0)
1.325 Å, I = 7, (2 2 2)
1.147 Å, I = 6, (4 0 0)


No. 11
Diffraction record for Zn4O11. The powder diffractogram is theoretical, not measured: it uses a structure optimized by DFT (GGA-PBE) and Cu Ka.
Intensities are scaled so that the largest is 100.

Crystal structure
```
data_Zn4O11
_symmetry_space_group_name_H-M 'P 1'
_symmetry_Int_Tables_number 1
_cell_length_a 3.4618
_cell_length_b 5.6323
_cell_length_c 9.0606
_cell_angle_alpha 84.96
_cell_angle_beta 79.33
_cell_angle_gamma 78.77
loop_
_symmetry_equiv_pos_as_xyz
'x,y,z'
loop_
_atom_site_label
_atom_site_fract_x
_atom_site_fract_y
_atom_site_fract_z
_atom_site_occupancy
Zn1 0.0000 0.0000 0.0000 1
Zn2 0.0248 0.4883 0.2585 1
Zn3 0.3488 0.4800 0.5497 1
Zn4 0.6309 0.8576 0.7308 1
O1 0.2081 0.0030 0.2763 1
O2 0.2083 0.1519 0.6525 1
O3 0.2139 0.6362 0.9124 1
O4 0.2972 0.9212 0.4027 1
O5 0.5036 0.4211 0.3386 1
O6 0.5459 0.0140 0.9093 1
O7 0.7752 0.6014 0.6073 1
O8 0.9147 0.3577 0.0613 1
O9 0.9557 0.0848 0.5770 1
O10 0.9795 0.8560 0.2100 1
O11 0.9814 0.4722 0.9189 1
```

Top 10 peaks for 2θ from 15° to 90°, in order of falling intensity:
2.966 Å, I = 100, (1 0 -1)
4.579 Å, I = 79, (0 1 -1)
2.758 Å, I = 63, (0 2 0)
2.822 Å, I = 43, (1 1 2)
2.672 Å, I = 40, (0 1 3)
2.352 Å, I = 36, (1 1 -2)
4.805 Å, I = 31, (0 1 1)
2.436 Å, I = 31, (1 0 3)
2.399 Å, I = 25, (1 -1 2)
2.183 Å, I = 24, (1 2 -1)


No. 12
Diffraction record for ZnO. The powder diffractogram is theoretical, not measured: it uses a structure optimized by DFT (GGA-PBE) and Cu Ka.
Intensities are scaled so that the largest is 100.

Crystal structure
```
data_ZnO
_symmetry_space_group_name_H-M 'R 3 m'
_symmetry_Int_Tables_number 160
_symmetry_space_group_name_Hall 'R 3 -2"'
_cell_length_a 3.2548
_cell_length_b 3.2548
_cell_length_c 23.6397
_cell_angle_alpha 90.00
_cell_angle_beta 90.00
_cell_angle_gamma 120.00
loop_
_atom_site_label
_atom_site_fract_x
_atom_site_fract_y
_atom_site_fract_z
_atom_site_occupancy
Zn1 0.0000 0.0000 0.0000 1
Zn2 0.0000 0.0000 0.2221 1
Zn3 0.0000 0.0000 0.4442 1
O1 0.0000 0.0000 0.1380 1
O2 0.0000 0.0000 0.3602 1
O3 0.0000 0.0000 0.9157 1
```

Top 10 peaks for 2θ from 15° to 90°, in order of falling intensity:
2.544 Å, I = 100, (1 0 4)
2.421 Å, I = 70, (0 1 5)
2.627 Å, I = 68, (0 0 9)
2.799 Å, I = 67, (1 0 1)
1.627 Å, I = 60, (1 1 0)
1.383 Å, I = 49, (1 1 9)
1.528 Å, I = 32, (1 0 13)
1.449 Å, I = 24, (0 1 14)
2.742 Å, I = 24, (0 1 2)
1.811 Å, I = 16, (1 0 10)